[1]
This entry pairs a crystal structure of Ba3Zn5 with its simulated PXRD pattern. Radiation: Cu Kα X-rays. Structure: DFT lattice parameters and positions (GGA-PBE).
Kinematic intensities with the Lorentz-polarization factor, no thermal factor.

Peak list (10 most intense, 2θ from 10° to 90°, in order of rising 2θ)
two_theta  d/Å  intensity
24.5  3.635  651
28.7  3.113  898
30.3  2.948  457
31.1  2.880  736
32.4  2.765  1000
33.3  2.694  674
33.8  2.653  563
34.0  2.636  770
35.2  2.551  531
50.4  1.810  753

Cell lengths 9.2338, 9.2338, 8.2087 Å; angles 94.46, 94.46, 136.57 degrees
Element x y z (fractional)
Ba1 0.1593 0.1593 0.7059
Ba2 0.1636 0.8364 0.0000
Ba3 0.2237 0.7763 0.5000
Ba4 0.7763 0.2237 0.5000
Ba5 0.8364 0.1636 0.0000
Ba6 0.8407 0.8407 0.2941
Zn1 0.2583 0.4230 0.3797
Zn2 0.3224 0.6205 0.8394
Zn3 0.3530 0.3530 0.1053
Zn4 0.3795 0.6776 0.1606
Zn5 0.4230 0.2583 0.3797
Zn6 0.5770 0.7417 0.6203
Zn7 0.6205 0.3224 0.8394
Zn8 0.6470 0.6470 0.8947
Zn9 0.6776 0.3795 0.1606
Zn10 0.7417 0.5770 0.6203

---

[2]
This entry pairs a crystal structure of Li3CaCd2 with its simulated PXRD pattern. Radiation: Cu Kα X-rays. Structure: DFT lattice parameters and positions (GGA-PBE).
Kinematic intensities with the Lorentz-polarization factor, no thermal factor.

Peak list (10 most intense, 2θ from 10° to 90°, in order of rising 2θ)
two_theta  d/Å  intensity
21.5  4.133  1000
22.2  3.996  539
24.8  3.590  342
25.4  3.505  628
29.4  3.041  402
29.8  2.996  290
36.0  2.493  739
36.4  2.468  748
37.0  2.432  387
39.3  2.292  358

Cell lengths 7.6874, 7.6874, 9.6206 Å; angles 122.10, 122.10, 34.69 degrees
Element x y z (fractional)
Li1 0.0527 0.0527 0.3900
Li2 0.2667 0.2667 0.4280
Li3 0.4258 0.4258 0.3176
Li4 0.5742 0.5742 0.6824
Li5 0.7333 0.7333 0.5720
Li6 0.9473 0.9473 0.6100
Ca1 0.1326 0.1326 0.0065
Ca2 0.8674 0.8674 0.9935
Cd1 0.1984 0.1984 0.7268
Cd2 0.4235 0.4235 0.7891
Cd3 0.5765 0.5765 0.2109
Cd4 0.8016 0.8016 0.2732

---

[3]
This entry pairs a crystal structure of CsAs2RhS8 with its simulated PXRD pattern. Radiation: Cu Kα X-rays. Structure: DFT lattice parameters and positions (GGA-PBE).
Kinematic intensities with the Lorentz-polarization factor, no thermal factor.

Peak list (10 most intense, 2θ from 10° to 90°, in order of rising 2θ)
two_theta  d/Å  intensity
17.3  5.134  213
19.2  4.627  469
24.0  3.701  1000
30.1  2.964  445
34.6  2.592  216
38.0  2.369  325
38.9  2.314  303
50.0  1.824  274
53.5  1.711  251
58.8  1.570  181

Cell lengths 5.9287, 5.9287, 10.6795 Å; angles 90.00, 90.00, 120.00 degrees
Element x y z (fractional)
Cs1 0.0000 0.0000 0.0000
As1 0.3333 0.6667 0.6897
As2 0.6667 0.3333 0.3103
Rh1 0.0000 0.0000 0.5000
S1 0.0373 0.6926 0.3719
S2 0.3074 0.3446 0.3719
S3 0.3333 0.6667 0.8886
S4 0.3446 0.0373 0.6281
S5 0.6554 0.9627 0.3719
S6 0.6667 0.3333 0.1114
S7 0.6926 0.6554 0.6281
S8 0.9627 0.3074 0.6281

---

[4]
This entry pairs a crystal structure of K3NdEr2Te6 with its simulated PXRD pattern. Radiation: Cu Kα X-rays. Structure: DFT lattice parameters and positions (GGA-PBE).
Kinematic intensities with the Lorentz-polarization factor, no thermal factor.

Peak list (10 most intense, 2θ from 10° to 90°, in order of rising 2θ)
two_theta  d/Å  intensity
10.7  8.247  458
27.0  3.307  1000
34.2  2.623  189
37.0  2.426  350
39.9  2.259  367
41.4  2.179  111
46.6  1.950  134
48.8  1.865  191
60.8  1.523  113
64.8  1.438  185

Cell lengths 7.8266, 7.8266, 8.6511 Å; angles 98.68, 98.68, 120.00 degrees
Element x y z (fractional)
K1 0.0000 0.0000 0.0000
K2 0.3358 0.6642 0.0000
K3 0.6642 0.3358 0.0000
Nd1 0.5000 0.5000 0.5000
Er1 0.1670 0.8330 0.5000
Er2 0.8330 0.1670 0.5000
Te1 0.0875 0.4301 0.2905
Te2 0.2270 0.2270 0.7089
Te3 0.4301 0.0875 0.2905
Te4 0.5699 0.9125 0.7095
Te5 0.7730 0.7730 0.2911
Te6 0.9125 0.5699 0.7095

---

[5]
This entry pairs a crystal structure of GaBiBr4 with its simulated PXRD pattern. Radiation: Cu Kα X-rays. Structure: DFT lattice parameters and positions (GGA-PBE).
Kinematic intensities with the Lorentz-polarization factor, no thermal factor.

Peak list (10 most intense, 2θ from 10° to 90°, in order of rising 2θ)
two_theta  d/Å  intensity
12.6  7.009  525
13.6  6.515  351
19.9  4.453  119
28.6  3.124  1000
39.5  2.282  246
39.8  2.264  135
41.9  2.157  117
42.2  2.143  231
51.5  1.775  133
59.1  1.562  107

Cell lengths 9.7526, 9.7526, 7.4089 Å; angles 104.49, 104.49, 124.44 degrees
Element x y z (fractional)
Ga1 0.1870 0.8130 0.7500
Ga2 0.8130 0.1870 0.2500
Bi1 0.4332 0.5668 0.7500
Bi2 0.5668 0.4332 0.2500
Br1 0.1009 0.4664 0.7559
Br2 0.2276 0.3378 0.2868
Br3 0.3378 0.2276 0.7868
Br4 0.4664 0.1009 0.2559
Br5 0.5336 0.8991 0.7441
Br6 0.6622 0.7724 0.2132
Br7 0.7724 0.6622 0.7132
Br8 0.8991 0.5336 0.2441

---

[6]
This entry pairs a crystal structure of TbSnGe2 with its simulated PXRD pattern. Radiation: Cu Kα X-rays. Structure: DFT lattice parameters and positions (GGA-PBE).
Kinematic intensities with the Lorentz-polarization factor, no thermal factor.

Peak list (10 most intense, 2θ from 10° to 90°, in order of rising 2θ)
two_theta  d/Å  intensity
21.4  4.153  74
27.3  3.272  83
34.9  2.570  1000
38.9  2.314  371
43.6  2.077  135
56.2  1.636  127
59.8  1.546  211
67.9  1.380  290
73.7  1.285  115
74.4  1.275  112

Cell lengths 4.6276, 4.6276, 4.1534 Å; angles 90.00, 90.00, 90.00 degrees
Element x y z (fractional)
Tb1 0.0000 0.0000 0.0000
Sn1 0.5000 0.5000 0.0000
Ge1 0.0000 0.5000 0.5000
Ge2 0.5000 0.0000 0.5000